For Mn2PdRu2, a crystal structure in Alexandria, relaxed with PBE gives the theoretical powder X-ray diffraction pattern in this record (Cu Kα).

Atomic structure:
abc: 7.054 7.054 2.675
angles: 90.00 90.00 90.00
Positions (direct):
Mn (0.121, 0.379, 0.000)
Mn (0.379, 0.879, 0.000)
Mn (0.621, 0.121, 0.000)
Mn (0.879, 0.621, 0.000)
Pd (0.000, 0.000, 0.000)
Pd (0.500, 0.500, 0.000)
Ru (0.169, 0.669, 0.500)
Ru (0.331, 0.169, 0.500)
Ru (0.669, 0.831, 0.500)
Ru (0.831, 0.331, 0.500)

Main lines, in order of falling intensity (10 to 90 degrees two-theta):
2theta, d/Å, intensity, index
44.4, 2.040, 100, 2 1 1
40.4, 2.231, 85, 3 1 0
42.4, 2.131, 54, 2 0 1
36.0, 2.494, 24, 2 2 0
66.2, 1.412, 21, 3 3 1
81.9, 1.176, 20, 6 0 0
53.5, 1.711, 19, 4 1 0
84.4, 1.147, 19, 3 1 2
28.3, 3.155, 19, 2 1 0
77.7, 1.229, 18, 5 1 1